Computed XRD peak list of Ba3Li4Sb4 for Cu Kα, from a structure optimized by DFT (GGA-PBE).
Peak positions follow from Bragg's law for the DFT cell and can differ from measured ones.

Crystal structure
```
Ba3Li4Sb4
1.0
-2.5298 3.8401 8.3032
2.5298 -3.8401 8.3032
2.5298 3.8401 -8.3032
Ba Li Sb
3 4 4
Cartesian
0.0000 0.0000 0.0000 Ba
2.5298 0.0000 6.1046 Ba
0.0000 3.8401 2.1987 Ba
2.5298 1.4901 -2.9177 Li
2.5298 1.4901 2.9177 Li
0.0000 2.3500 5.3855 Li
0.0000 2.3500 11.2209 Li
0.0000 0.0000 3.5369 Sb
2.5298 2.4097 0.0000 Sb
0.0000 1.4304 8.3032 Sb
0.0000 0.0000 13.0695 Sb
```

Most intense lines, 2θ = 5–70°, by angle:
23.16°, I = 25; 23.83°, I = 47; 29.30°, I = 22; 29.70°, I = 76; 30.18°, I = 100; 35.48°, I = 37; 40.07°, I = 18; 44.69°, I = 21; 58.36°, I = 32; 60.49°, I = 21